1.
Structure and simulated XRD peak list of Os3C10SO10 (a PBE-relaxed structure; CuKα).
Kinematic intensities with the Lorentz-polarization factor, no thermal factor.

Structure:
Unit cell a=6.9873 b=9.6583 c=13.4204 alpha=82.60 beta=87.63 gamma=72.36
Positions (direct):
Os 0.1448 0.3178 0.3345
Os 0.2617 0.0253 0.2759
Os 0.3313 0.2633 0.1392
Os 0.6687 0.7367 0.8608
Os 0.7383 0.9747 0.7241
Os 0.8552 0.6822 0.6655
C 0.0504 0.2318 0.2051
C 0.0606 0.9472 0.2346
C 0.1386 0.5888 0.6567
C 0.1637 0.2536 0.4754
C 0.1653 0.3198 0.0214
C 0.2020 0.4993 0.3356
C 0.2598 0.9280 0.4092
C 0.4099 0.4386 0.1216
C 0.4501 0.8532 0.9336
C 0.4684 0.8729 0.2222
C 0.5316 0.1271 0.7778
C 0.5499 0.1468 0.0664
C 0.5901 0.5614 0.8784
C 0.7402 0.0720 0.5908
C 0.7980 0.5007 0.6644
C 0.8347 0.6802 0.9786
C 0.8363 0.7464 0.5246
C 0.8614 0.4112 0.3433
C 0.9394 0.0528 0.7654
C 0.9496 0.7682 0.7949
S 0.4822 0.1685 0.3022
S 0.5178 0.8315 0.6978
O 0.0576 0.1010 0.7930
O 0.0611 0.3494 0.9520
O 0.1137 0.7438 0.8312
O 0.1821 0.2140 0.5610
O 0.2345 0.6099 0.3377
O 0.2561 0.8669 0.4895
O 0.3103 0.5341 0.6501
O 0.3158 0.9222 0.9774
O 0.4054 0.2214 0.8074
O 0.4545 0.5459 0.1126
O 0.5455 0.4541 0.8874
O 0.5946 0.7786 0.1926
O 0.6842 0.0778 0.0226
O 0.6897 0.4659 0.3499
O 0.7439 0.1331 0.5105
O 0.7655 0.3901 0.6623
O 0.8179 0.7860 0.4390
O 0.8863 0.2562 0.1688
O 0.9389 0.6506 0.0480
O 0.9424 0.8990 0.2070

Principal peaks in the range 2θ from 10° to 80°, most intense first:
- 14.87°, I = 100, (1 0 1)
- 11.06°, I = 50, (0 1 1)
- 13.91°, I = 40, (1 1 0)
- 12.40°, I = 36, (0 1 -1)
- 13.31°, I = 31, (0 0 2)
- 30.00°, I = 20, (2 0 2)

2.
Structure and simulated XRD peak list of Os3C9S2O9 (a PBE-relaxed structure; CuKα).
Kinematic intensities with the Lorentz-polarization factor, no thermal factor.

Structure:
Unit cell a=6.8026 b=9.5986 c=13.7076 alpha=82.66 beta=84.63 gamma=69.57
Positions (direct):
Os 0.0820 0.1981 0.1595
Os 0.1716 0.2602 0.3445
Os 0.2057 0.8998 0.2579
Os 0.7943 0.1002 0.7421
Os 0.8284 0.7398 0.6555
Os 0.9180 0.8019 0.8405
C 0.0017 0.1866 0.7608
C 0.0598 0.5709 0.6152
C 0.1252 0.3842 0.1220
C 0.1922 0.1017 0.0433
C 0.1972 0.7269 0.8850
C 0.2549 0.1803 0.4731
C 0.2942 0.7803 0.3772
C 0.3540 0.3771 0.3218
C 0.4092 0.7680 0.1732
C 0.5908 0.2320 0.8268
C 0.6460 0.6229 0.6782
C 0.7058 0.2197 0.6228
C 0.7451 0.8197 0.5269
C 0.8028 0.2731 0.1150
C 0.8078 0.8983 0.9567
C 0.8748 0.6158 0.8780
C 0.9402 0.4291 0.3848
C 0.9983 0.8134 0.2392
S 0.0484 0.8820 0.6787
S 0.4060 0.0669 0.2482
S 0.5940 0.9331 0.7518
S 0.9516 0.1180 0.3213
O 0.1263 0.2404 0.7708
O 0.1515 0.4967 0.0953
O 0.1970 0.4670 0.5918
O 0.2603 0.0405 0.9731
O 0.3048 0.1265 0.5520
O 0.3403 0.7138 0.4537
O 0.3677 0.6826 0.9110
O 0.4646 0.4474 0.3074
O 0.4677 0.3100 0.8783
O 0.5323 0.6900 0.1217
O 0.5354 0.5526 0.6926
O 0.6323 0.3174 0.0890
O 0.6597 0.2862 0.5463
O 0.6952 0.8735 0.4480
O 0.7397 0.9595 0.0269
O 0.8030 0.5330 0.4082
O 0.8485 0.5033 0.9047
O 0.8737 0.7596 0.2292

Principal peaks in the range 2θ from 10° to 80°, most intense first:
- 13.04°, I = 100, (0 0 2)
- 15.68°, I = 99, (1 0 -1)
- 16.22°, I = 81, (1 1 -1)
- 15.06°, I = 81, (1 0 1)
- 13.91°, I = 58, (1 0 0)
- 12.39°, I = 48, (0 1 -1)